(1)
Computed PXRD pattern of Li2TcAsO6 for λ = 1.5418 Å (Cu Kα), from a crystal structure in Alexandria, relaxed with GGA-PBE.
Kinematic intensities with the Lorentz-polarization factor, no thermal factor.

Main lines, in order of rising 2θ (2θ from 5° to 70°):
d (Å)	two_theta	intensity
4.830	18.37	98
3.655	24.35	100
2.915	30.68	74
2.584	34.71	23
2.279	39.55	22
2.015	44.99	29
1.827	49.90	25
1.765	51.81	18
1.709	53.62	21
1.635	56.28	18
1.548	59.73	22
1.367	68.68	16

Atomic structure:
Unit cell a=5.169 b=5.169 c=4.830 alpha=90.00 beta=90.00 gamma=90.00
Element x y z (fractional)
Li: 0.000 0.500 0.000
Li: 0.500 0.000 0.000
Tc: 0.000 0.000 0.672
As: 0.500 0.500 0.671
O: 0.000 0.000 0.315
O: 0.252 0.252 0.806
O: 0.252 0.748 0.806
O: 0.500 0.500 0.324
O: 0.748 0.252 0.806
O: 0.748 0.748 0.806



(2)
Computed PXRD pattern of Li4ThAs3O12 for λ = 1.5418 Å (Cu Kα), from a crystal structure in Alexandria, relaxed with GGA-PBE.
Kinematic intensities with the Lorentz-polarization factor, no thermal factor.

Main lines, in order of rising 2θ (2θ from 5° to 70°):
d (Å)	two_theta	intensity
5.213	17.01	42
3.686	24.14	100
3.010	29.68	19
2.606	34.41	78
2.331	38.62	26
2.128	42.48	39
1.970	46.07	27
1.843	49.45	19
1.738	52.68	7
1.648	55.77	35
1.505	61.64	43
1.446	64.45	11

Atomic structure:
Unit cell a=6.384 b=6.384 c=6.384 alpha=109.47 beta=109.47 gamma=109.47
Element x y z (fractional)
Li: 0.000 0.000 0.500
Li: 0.000 0.500 0.000
Li: 0.500 0.000 0.000
Li: 0.500 0.500 0.500
Th: 0.000 0.000 0.000
As: 0.000 0.500 0.500
As: 0.500 0.000 0.500
As: 0.500 0.500 0.000
O: 0.159 0.322 0.837
O: 0.163 0.485 0.322
O: 0.163 0.841 0.678
O: 0.322 0.163 0.485
O: 0.322 0.837 0.159
O: 0.485 0.322 0.163
O: 0.515 0.678 0.837
O: 0.678 0.163 0.841
O: 0.678 0.837 0.515
O: 0.837 0.159 0.322
O: 0.837 0.515 0.678
O: 0.841 0.678 0.163



(3)
Computed PXRD pattern of LiU4As3O20 for λ = 1.5418 Å (Cu Kα), from a crystal structure in Alexandria, relaxed with GGA-PBE.
Kinematic intensities with the Lorentz-polarization factor, no thermal factor.

Main lines, in order of rising 2θ (2θ from 5° to 70°):
d (Å)	two_theta	intensity
7.146	12.39	21
5.015	17.68	26
4.948	17.93	36
4.085	21.76	35
3.652	24.37	100
3.394	26.26	59
2.583	34.74	26
2.486	36.13	31
2.055	44.06	19
1.826	49.94	17
1.685	54.45	17
1.633	56.33	17

Atomic structure:
Unit cell a=18.003 b=18.003 c=18.003 alpha=156.59 beta=156.59 gamma=33.34
Element x y z (fractional)
Li: 0.000 0.000 0.000
Li: 0.750 0.250 0.500
U: 0.016 0.516 0.500
U: 0.142 0.142 0.000
U: 0.266 0.266 0.000
U: 0.325 0.825 0.500
U: 0.449 0.949 0.500
U: 0.575 0.575 0.000
U: 0.699 0.699 0.000
U: 0.892 0.392 0.500
As: 0.113 0.613 0.500
As: 0.228 0.728 0.500
As: 0.363 0.363 0.000
As: 0.478 0.478 0.000
As: 0.670 0.170 0.500
As: 0.920 0.920 0.000
O: 0.006 0.700 0.306
O: 0.016 0.268 0.252
O: 0.016 0.765 0.748
O: 0.018 0.266 0.752
O: 0.081 0.825 0.255
O: 0.090 0.090 0.000
O: 0.136 0.951 0.184
O: 0.140 0.448 0.307
O: 0.140 0.833 0.693
O: 0.198 0.390 0.807
O: 0.199 0.199 0.000
O: 0.255 0.579 0.676
O: 0.260 0.581 0.321
O: 0.260 0.939 0.679
O: 0.329 0.154 0.824
O: 0.329 0.505 0.176
O: 0.331 0.510 0.821
O: 0.394 0.700 0.694
O: 0.394 0.894 0.500
O: 0.448 0.142 0.306
O: 0.450 0.256 0.806
O: 0.450 0.644 0.194
O: 0.502 0.002 0.500
O: 0.515 0.266 0.248
O: 0.570 0.825 0.745
O: 0.575 0.331 0.755
O: 0.575 0.820 0.245
O: 0.583 0.390 0.193
O: 0.644 0.644 0.000
O: 0.689 0.510 0.179
O: 0.701 0.017 0.316
O: 0.701 0.386 0.684
O: 0.752 0.752 0.000
O: 0.767 0.951 0.816
O: 0.836 0.142 0.694
O: 0.840 0.340 0.500
O: 0.892 0.086 0.194
O: 0.892 0.698 0.806
O: 0.904 0.579 0.324
O: 0.949 0.449 0.500